The following is a computed X-ray diffraction stick pattern of Ce6OsRu2. It was derived from a cell relaxed with PBE, using Cu Kα X-rays.
Peak positions follow from Bragg's law for the DFT cell and can differ from measured ones.

Largest 10 diffraction maxima, in order of rising 2θ, 15° ≤ 2θ ≤ 90°:
two_theta  I (rel.)
32.09  29
32.55  100
33.51  13
38.11  37
40.00  18
42.04  17
42.32  16
50.65  16
53.00  14
67.13  15

Structural model:
abc: 5.6961 5.6961 8.5300
angles: 100.20 100.20 48.98
Element x y z (fractional)
Ce1 0.0510 0.0510 0.3292
Ce2 0.3231 0.3231 0.9144
Ce3 0.3892 0.3892 0.3269
Ce4 0.6108 0.6108 0.6731
Ce5 0.6769 0.6769 0.0856
Ce6 0.9490 0.9490 0.6708
Os1 0.0000 0.0000 0.0000
Ru1 0.2722 0.2722 0.6232
Ru2 0.7278 0.7278 0.3768